Record 1
The following is a simulated X-ray diffraction stick pattern of Tb3Dy8Ho3. It was derived from a cell relaxed with GGA-PBE, using Cu Kα (λ = 1.5418 Å).

Largest 10 diffraction maxima, sorted by position, 2θ from 5° to 70°:
| 2θ/deg | d_spacing | I (rel.) |
| --- | --- | --- |
| 29.32 | 3.046 | 10 |
| 30.11 | 2.968 | 23 |
| 30.87 | 2.897 | 19 |
| 32.07 | 2.791 | 100 |
| 34.24 | 2.619 | 34 |
| 45.09 | 2.011 | 13 |
| 57.15 | 1.612 | 13 |
| 60.83 | 1.523 | 8 |
| 61.60 | 1.506 | 8 |
| 62.96 | 1.476 | 10 |

```
Tb3Dy8Ho3
1.0
-2.7929 5.3625 7.4133
2.7929 -5.3625 7.4133
2.7929 5.3625 -7.4133
Tb Dy Ho
3 8 3
direct
0.0000 0.0000 0.0000 Tb
0.1810 0.6810 0.5000 Tb
0.8190 0.3190 0.5000 Tb
0.1192 0.2779 0.8413 Dy
0.2375 0.8964 0.3411 Dy
0.4367 0.2779 0.1587 Dy
0.4447 0.1036 0.3411 Dy
0.5553 0.8964 0.6589 Dy
0.5633 0.7221 0.8413 Dy
0.7625 0.1036 0.6589 Dy
0.8808 0.7221 0.1587 Dy
0.2029 0.5000 0.7029 Ho
0.5000 0.5000 0.0000 Ho
0.7971 0.5000 0.2971 Ho
```

Record 2
The following is a simulated X-ray diffraction stick pattern of Tb2Dy3Ho9. It was derived from a cell relaxed with GGA-PBE, using Cu Kα (λ = 1.5418 Å).

Largest 10 diffraction maxima, sorted by position, 2θ from 5° to 70°:
| 2θ/deg | d_spacing | I (rel.) |
| --- | --- | --- |
| 30.49 | 2.932 | 39 |
| 31.60 | 2.831 | 41 |
| 31.93 | 2.803 | 68 |
| 32.06 | 2.792 | 64 |
| 32.58 | 2.748 | 39 |
| 32.79 | 2.731 | 100 |
| 33.48 | 2.677 | 22 |
| 56.49 | 1.629 | 17 |
| 57.92 | 1.592 | 19 |
| 58.50 | 1.578 | 18 |

```
Tb2Dy3Ho9
1.0
6.3801 0.0000 0.0000
2.7206 7.8893 0.0000
1.1415 0.0420 8.7175
Tb Dy Ho
2 3 9
direct
0.0000 0.0000 0.0000 Tb
0.1313 0.6490 0.1988 Tb
0.4468 0.0540 0.7837 Dy
0.5872 0.7969 0.1112 Dy
0.7695 0.5601 0.4456 Dy
0.0560 0.4090 0.9300 Ho
0.1660 0.1999 0.2681 Ho
0.2913 0.8472 0.4852 Ho
0.3219 0.4078 0.5319 Ho
0.4721 0.6096 0.8183 Ho
0.6105 0.3552 0.1465 Ho
0.7369 0.0008 0.3987 Ho
0.8944 0.2077 0.6625 Ho
0.9260 0.7596 0.7304 Ho
```

Record 3
The following is a simulated X-ray diffraction stick pattern of Tb3Dy2Ho9. It was derived from a cell relaxed with GGA-PBE, using Cu Kα (λ = 1.5418 Å).

Largest 10 diffraction maxima, sorted by position, 2θ from 5° to 70°:
| 2θ/deg | d_spacing | I (rel.) |
| --- | --- | --- |
| 30.64 | 2.918 | 32 |
| 31.46 | 2.844 | 32 |
| 31.97 | 2.800 | 100 |
| 32.59 | 2.748 | 43 |
| 32.75 | 2.734 | 48 |
| 32.98 | 2.716 | 15 |
| 33.50 | 2.675 | 16 |
| 43.41 | 2.084 | 11 |
| 47.44 | 1.916 | 11 |
| 57.99 | 1.590 | 22 |

```
Tb3Dy2Ho9
1.0
6.4170 0.0000 0.0000
2.7279 7.8863 0.0000
1.1924 -0.0035 8.6787
Tb Dy Ho
3 2 9
direct
0.0000 0.0000 0.0000 Tb
0.1512 0.2071 0.3111 Tb
0.3240 0.5016 0.6622 Tb
0.6311 0.9160 0.2446 Dy
0.7528 0.5686 0.4405 Dy
0.0278 0.5563 0.0505 Ho
0.1728 0.7643 0.3387 Ho
0.3010 0.9402 0.6308 Ho
0.4452 0.1512 0.9167 Ho
0.4743 0.7068 0.9678 Ho
0.6014 0.3535 0.1844 Ho
0.7135 0.1409 0.5257 Ho
0.8436 0.7916 0.7219 Ho
0.8744 0.3531 0.7793 Ho
```

Record 4
The following is a simulated X-ray diffraction stick pattern of TbDy4Ho5. It was derived from a cell relaxed with GGA-PBE, using Cu Kα (λ = 1.5418 Å).

Largest 10 diffraction maxima, sorted by position, 2θ from 5° to 70°:
| 2θ/deg | d_spacing | I (rel.) |
| --- | --- | --- |
| 28.63 | 3.118 | 24 |
| 31.87 | 2.808 | 24 |
| 32.85 | 2.726 | 100 |
| 43.37 | 2.087 | 16 |
| 50.71 | 1.800 | 20 |
| 57.42 | 1.605 | 20 |
| 59.27 | 1.559 | 3 |
| 61.15 | 1.516 | 23 |
| 61.75 | 1.502 | 16 |
| 68.89 | 1.363 | 4 |

```
TbDy4Ho5
1.0
6.2332 0.0000 0.0000
3.1160 5.8969 0.0000
0.0013 3.1466 8.5764
Tb Dy Ho
1 4 5
direct
0.0000 0.0000 0.0000 Tb
0.1995 0.5999 0.3996 Dy
0.2665 0.7995 0.6999 Dy
0.5993 0.7994 0.1997 Dy
0.6665 0.9996 0.4996 Dy
0.0668 0.2003 0.3001 Ho
0.3994 0.1998 0.7993 Ho
0.4672 0.3990 0.0995 Ho
0.7993 0.3997 0.6001 Ho
0.8670 0.6000 0.8997 Ho
```

Record 5
The following is a simulated X-ray diffraction stick pattern of Tb3Dy5Ho3. It was derived from a cell relaxed with GGA-PBE, using Cu Kα (λ = 1.5418 Å).

Largest 10 diffraction maxima, sorted by position, 2θ from 5° to 70°:
| 2θ/deg | d_spacing | I (rel.) |
| --- | --- | --- |
| 10.61 | 8.342 | 46 |
| 16.11 | 5.502 | 65 |
| 26.82 | 3.324 | 64 |
| 28.31 | 3.153 | 30 |
| 32.19 | 2.781 | 55 |
| 32.55 | 2.751 | 55 |
| 32.74 | 2.736 | 64 |
| 36.20 | 2.482 | 100 |
| 42.38 | 2.133 | 33 |
| 46.43 | 1.956 | 40 |

```
Tb3Dy5Ho3
1.0
9.6320 0.0000 0.0000
-4.8160 8.3416 0.0000
0.0000 0.0000 5.5022
Tb Dy Ho
3 5 3
direct
0.0000 0.5439 0.0000 Tb
0.4561 0.4561 0.0000 Tb
0.5439 0.0000 0.0000 Tb
0.0000 0.7237 0.5000 Dy
0.2763 0.2763 0.5000 Dy
0.3333 0.6667 0.5000 Dy
0.6667 0.3333 0.5000 Dy
0.7237 0.0000 0.5000 Dy
0.0000 0.3656 0.5000 Ho
0.3656 0.0000 0.5000 Ho
0.6344 0.6344 0.5000 Ho
```

Record 6
The following is a simulated X-ray diffraction stick pattern of Tb12DyHo7. It was derived from a cell relaxed with GGA-PBE, using Cu Kα (λ = 1.5418 Å).

Largest 10 diffraction maxima, sorted by position, 2θ from 5° to 70°:
| 2θ/deg | d_spacing | I (rel.) |
| --- | --- | --- |
| 27.34 | 3.262 | 19 |
| 29.88 | 2.990 | 61 |
| 30.78 | 2.904 | 42 |
| 32.01 | 2.796 | 100 |
| 39.47 | 2.283 | 32 |
| 42.44 | 2.130 | 24 |
| 47.72 | 1.906 | 12 |
| 51.67 | 1.769 | 17 |
| 55.74 | 1.649 | 15 |
| 59.49 | 1.554 | 14 |

```
Tb12DyHo7
1.0
6.3794 3.6831 4.5524
-6.3794 3.6831 4.5524
0.0000 -7.3663 4.5524
Tb Dy Ho
12 1 7
direct
0.0217 0.0849 0.3529 Tb
0.0849 0.3529 0.0217 Tb
0.1856 0.7498 0.3146 Tb
0.2502 0.6854 0.8144 Tb
0.3146 0.1856 0.7498 Tb
0.3529 0.0217 0.0849 Tb
0.6471 0.9783 0.9151 Tb
0.6854 0.8144 0.2502 Tb
0.7498 0.3146 0.1856 Tb
0.8144 0.2502 0.6854 Tb
0.9151 0.6471 0.9783 Tb
0.9783 0.9151 0.6471 Tb
0.5000 0.5000 0.5000 Dy
0.0000 0.0000 0.0000 Ho
0.1484 0.4165 0.4795 Ho
0.4165 0.4795 0.1484 Ho
0.4795 0.1484 0.4165 Ho
0.5205 0.8516 0.5835 Ho
0.5835 0.5205 0.8516 Ho
0.8516 0.5835 0.5205 Ho
```

Record 7
The following is a simulated X-ray diffraction stick pattern of Tb5DyHo8. It was derived from a cell relaxed with GGA-PBE, using Cu Kα (λ = 1.5418 Å).

Largest 10 diffraction maxima, sorted by position, 2θ from 5° to 70°:
| 2θ/deg | d_spacing | I (rel.) |
| --- | --- | --- |
| 28.31 | 3.152 | 62 |
| 29.61 | 3.017 | 69 |
| 29.77 | 3.001 | 79 |
| 32.10 | 2.788 | 23 |
| 34.15 | 2.626 | 100 |
| 34.84 | 2.575 | 49 |
| 35.25 | 2.546 | 55 |
| 55.69 | 1.650 | 17 |
| 56.84 | 1.620 | 17 |
| 63.75 | 1.460 | 22 |

```
Tb5DyHo8
1.0
-4.7451 4.7451 5.0129
4.7451 -4.7451 5.0129
4.7451 4.7451 -5.0129
Tb Dy Ho
5 1 8
direct
0.0000 0.0000 0.0000 Tb
0.3130 0.6350 0.1007 Tb
0.3650 0.4656 0.6779 Tb
0.5344 0.2123 0.8993 Tb
0.7877 0.6870 0.3221 Tb
0.7500 0.2500 0.5000 Dy
0.0248 0.4195 0.2534 Ho
0.0732 0.1597 0.7379 Ho
0.1661 0.7713 0.7466 Ho
0.2287 0.9752 0.3948 Ho
0.4219 0.3354 0.2621 Ho
0.5805 0.8339 0.6052 Ho
0.6646 0.9268 0.0865 Ho
0.8403 0.5781 0.9135 Ho
```

Record 8
The following is a simulated X-ray diffraction stick pattern of Tb4Dy3Ho4. It was derived from a cell relaxed with GGA-PBE, using Cu Kα (λ = 1.5418 Å).

Largest 10 diffraction maxima, sorted by position, 2θ from 5° to 70°:
| 2θ/deg | d_spacing | I (rel.) |
| --- | --- | --- |
| 31.16 | 2.871 | 27 |
| 31.92 | 2.804 | 60 |
| 32.13 | 2.786 | 100 |
| 45.37 | 1.999 | 19 |
| 46.47 | 1.954 | 11 |
| 57.16 | 1.612 | 12 |
| 57.28 | 1.608 | 19 |
| 57.62 | 1.600 | 12 |
| 62.88 | 1.478 | 29 |
| 67.21 | 1.393 | 11 |

```
Tb4Dy3Ho4
1.0
3.4876 0.0000 0.0000
0.0003 5.5705 0.0000
1.7393 2.7811 17.6942
Tb Dy Ho
4 3 4
direct
0.0454 0.0451 0.4083 Tb
0.1799 0.6801 0.1392 Tb
0.8201 0.3199 0.8608 Tb
0.9546 0.9549 0.5917 Tb
0.3635 0.8635 0.7736 Dy
0.5000 0.5000 0.5000 Dy
0.6365 0.1365 0.2264 Dy
0.0905 0.5897 0.3189 Ho
0.2336 0.2332 0.0334 Ho
0.7664 0.7668 0.9666 Ho
0.9095 0.4103 0.6811 Ho
```